Calculated powder X-ray diffraction pattern of Li2GaGePd for Cu Kα X-rays, from a cell relaxed with PBE.
No peak broadening, texture or thermal motion is included.

Principal peaks in the range 5 to 70 degrees two-theta, most intense first:
- 13.64°, intensity 100.0, (0 0 2)
- 32.16°, intensity 68.0, (1 0 1)
- 47.37°, intensity 56.5, (1 1 4)
- 40.51°, intensity 50.7, (0 1 5)
- 29.19°, intensity 48.0, (0 1 3)
- 53.67°, intensity 31.0, (1 2 1)
- 41.76°, intensity 24.4, (0 2 0)
- 57.57°, intensity 20.6, (1 1 6)

Cell and atoms:
```
data_Li2GaGePd
_chemical_formula_sum 'Li4 Ga2 Ge2 Pd2'
_cell_length_a 2.849
_cell_length_b 4.326
_cell_length_c 12.985
_cell_angle_alpha 90.00
_cell_angle_beta 90.00
_cell_angle_gamma 90.00
_space_group_name_H-M_alt 'I m m 2'
_space_group_IT_number 44
_space_group_name_Hall 'I 2 -2'
loop_
_atom_site_label
_atom_site_type_symbol
_atom_site_fract_x
_atom_site_fract_y
_atom_site_fract_z
_atom_site_occupancy
Li1 Li 0.000 0.000 0.000 1
Li2 Li 0.000 0.000 0.363 1
Ga1 Ga 0.000 0.000 0.577 1
Ge1 Ge 0.000 0.000 0.791 1
Pd1 Pd 0.000 0.500 0.683 1
```